This entry pairs a crystal structure of NaCrCuS3 with its computed powder diffraction line list. Radiation: Cu Kα. Structure: a GGA-PBE-relaxed structure.

Principal peaks in the range 2θ = 5–70°, in order of rising 2θ:
hkl 1 0 0, 2θ = 12.5°, I = 9
hkl 1 0 -1, 2θ = 13.6°, I = 100
hkl 2 1 -1, 2θ = 34.9°, I = 18
hkl 2 1 0, 2θ = 35.8°, I = 30
hkl 1 0 3, 2θ = 39.0°, I = 11
hkl 2 1 1, 2θ = 39.9°, I = 9
hkl 1 1 -3, 2θ = 40.3°, I = 15
hkl 3 1 -1, 2θ = 44.2°, I = 16
hkl 2 1 -4, 2θ = 50.5°, I = 16
hkl 0 2 0, 2θ = 51.5°, I = 12

Atomic structure:
```
12
Lattice="7.5214 0.0000 0.0000 0.0000 3.5478 0.0000 -2.8457 0.0000 8.2002" Properties=species:S:1:pos:R:3 pbc="T T T"
Na 0.9815 0.8870 2.0682
Na 3.6941 2.6609 6.1320
Cr -0.0071 2.6609 6.9116
Cr 4.6828 0.8870 1.2886
Cu -1.1009 0.8870 4.9708
Cu 5.7766 2.6609 3.2294
S -1.6268 0.8870 7.1309
S 0.2872 2.6609 4.5126
S 3.0523 2.6609 1.1112
S 1.6233 0.8870 7.0890
S 4.3885 0.8870 3.6876
S 6.3025 2.6609 1.0692
```